Starting from a PBE-relaxed structure, the powder diffractogram of Sm2PtO6 was calculated for CuKα.
Intensities are scaled so that the largest is 100.

Structural model:
a b c (Å): 6.515 6.515 6.515
angles (deg): 146.74 130.44 61.00
Atoms (fractional coordinates):
Sm1 0.169 0.169 0.000
Sm2 0.831 0.831 0.000
Pt1 0.500 0.500 0.000
O1 0.119 0.351 0.768
O2 0.289 0.000 0.289
O3 0.417 0.649 0.768
O4 0.583 0.351 0.232
O5 0.711 0.000 0.711
O6 0.881 0.649 0.232

Largest 12 diffraction maxima, low angle first, 10 to 90 degrees two-theta:
2θ (°)	I/Imax
28.96	100.0
32.80	11.7
33.94	21.1
47.91	34.2
48.66	8.0
48.84	8.3
56.21	15.7
57.64	14.4
57.76	14.5
77.51	6.2
77.61	6.1
78.95	7.7